1.
This entry pairs a crystal structure of Pu3ScPb4 with its calculated powder diffraction line list. Radiation: Cu Kα X-rays. Structure: a structure optimized by DFT (PBE).

The 6 most intense peaks (2θ from 10° to 90°), by angle:
2θ/deg, I/Imax
30.5, 36
30.9, 35
35.2, 100
44.0, 27
57.4, 25
57.8, 24

Crystal structure
```
Pu3ScPb4
1.0
3.2456 0.0000 0.0000
0.0000 5.8539 0.0000
0.0000 0.0000 11.5648
Pu Sc Pb
3 1 4
Direct
0.0000 0.0000 0.0000
0.0000 0.5000 0.2500
0.0000 0.5000 0.7500
0.0000 0.0000 0.5000
0.5000 0.0000 0.2601
0.5000 0.0000 0.7399
0.5000 0.5000 0.0000
0.5000 0.5000 0.5000
```


2.
This entry pairs a crystal structure of Ta2VTe5 with its calculated powder diffraction line list. Radiation: Cu Kα X-rays. Structure: a structure optimized by DFT (PBE).

The 6 most intense peaks (2θ from 10° to 90°), by angle:
2θ/deg, I/Imax
17.9, 63
33.5, 100
35.1, 91
35.8, 74
39.4, 57
49.8, 57

Crystal structure
```
Ta2VTe5
1.0
2.6770 -6.4662 0.0000
2.6770 6.4662 0.0000
0.0000 0.0000 11.9368
Ta V Te
4 2 10
Direct
0.1501 0.8499 0.6212
0.1501 0.8499 0.8788
0.8499 0.1501 0.1212
0.8499 0.1501 0.3788
0.2349 0.7651 0.2500
0.7651 0.2349 0.7500
0.0613 0.9387 0.1125
0.0613 0.9387 0.3875
0.3276 0.6724 0.0479
0.3276 0.6724 0.4521
0.3299 0.6701 0.7500
0.6701 0.3299 0.2500
0.6724 0.3276 0.5479
0.6724 0.3276 0.9521
0.9387 0.0613 0.6125
0.9387 0.0613 0.8875
```


3.
This entry pairs a crystal structure of MgPH13O9 with its calculated powder diffraction line list. Radiation: Cu Kα X-rays. Structure: a structure optimized by DFT (PBE).

The 6 most intense peaks (2θ from 10° to 90°), by angle:
2θ/deg, I/Imax
20.0, 88
22.5, 100
29.1, 41
30.3, 40
32.4, 81
36.6, 44

Crystal structure
```
MgPH13O9
1.0
4.4298 2.5575 3.0717
-4.4298 2.5575 3.0717
0.0000 -5.1151 3.0717
Mg P H O
1 1 13 9
Direct
0.0000 0.0000 0.0000
0.5210 0.5210 0.5210
0.0499 0.4579 0.9742
0.2013 0.8200 0.6254
0.2663 0.3710 0.8671
0.3680 0.3680 0.3680
0.3710 0.8671 0.2663
0.4579 0.9742 0.0499
0.5898 0.9402 0.7277
0.6254 0.2013 0.8200
0.7277 0.5898 0.9402
0.8200 0.6254 0.2013
0.8671 0.2663 0.3710
0.9402 0.7277 0.5898
0.9742 0.0499 0.4579
0.0490 0.8612 0.6636
0.1228 0.3209 0.9286
0.3209 0.9286 0.1228
0.4377 0.7583 0.5209
0.5209 0.4377 0.7583
0.6636 0.0490 0.8612
0.7583 0.5209 0.4377
0.8612 0.6636 0.0490
0.9286 0.1228 0.3209
```


4.
This entry pairs a crystal structure of DyZn3Cd with its calculated powder diffraction line list. Radiation: Cu Kα X-rays. Structure: a structure optimized by DFT (PBE).

The 6 most intense peaks (2θ from 10° to 90°), by angle:
2θ/deg, I/Imax
34.1, 100
35.4, 51
40.8, 31
41.0, 58
55.1, 28
67.8, 23

Crystal structure
```
DyZn3Cd
1.0
1.7767 -12.6910 0.0000
1.7767 12.6910 0.0000
0.0000 0.0000 4.4196
Dy Zn Cd
2 6 2
Direct
0.0750 0.9250 0.7500
0.9250 0.0750 0.2500
0.3230 0.6770 0.2500
0.3752 0.6248 0.7500
0.4756 0.5244 0.7500
0.5244 0.4756 0.2500
0.6248 0.3752 0.2500
0.6770 0.3230 0.7500
0.2145 0.7855 0.2500
0.7855 0.2145 0.7500
```